Diffraction record for KI2O6. The XRD peak list is computed, not measured: it uses DFT lattice parameters and positions (GGA-PBE) and copper Kα.
Kinematic intensities with the Lorentz-polarization factor, no thermal factor.

Principal peaks in the range 10° ≤ 2θ ≤ 90°, in order of rising 2θ:
18.01°, intensity 33.7; 20.18°, intensity 79.2; 21.53°, intensity 33.9; 24.91°, intensity 29.0; 25.23°, intensity 100.0; 27.16°, intensity 45.2; 28.94°, intensity 32.1; 29.35°, intensity 29.8; 32.66°, intensity 32.6; 41.04°, intensity 31.6

Cell lengths 10.6896, 7.5677, 8.8018 Å; angles 90.00, 112.86, 90.00 degrees
Space group P2_1/c (No. 14)
Inequivalent atoms, fractional coordinates:
K  0.2011  0.2489  0.3380
I  0.1242  0.7029  0.0717
I  0.4946  0.5649  0.7922
O  0.0319  0.1640  0.0117
O  0.0609  0.5496  0.1860
O  0.2346  0.6521  0.7363
O  0.3207  0.0481  0.6428
O  0.4312  0.0264  0.0823
O  0.4636  0.1444  0.3827